No. 1
Starting from the PBE+U geometry in the Materials Project, the PXRD pattern of MnCu3P4O16 was computed for λ = 1.5418 Å (Cu Kα).
Neutral-atom scattering factors, no anomalous dispersion.

Principal peaks in the range 10 to 90 degrees two-theta, low angle first:
2θ/deg	intensity
18.20	73
20.21	61
20.48	41
25.43	46
30.10	100
36.72	54

Cell and atoms:
Lattice parameters (Å, degrees): 4.883 5.941 9.749 90.00 90.94 90.00
Sites, in units of the cell vectors:
Mn1 0.000 0.000 0.000
Cu1 0.132 0.500 0.570
Cu2 0.464 0.500 0.074
Cu3 0.636 0.000 0.503
P1 0.154 0.000 0.687
P2 0.479 0.000 0.189
P3 0.639 0.500 0.385
P4 0.978 0.500 0.882
O1 0.224 0.000 0.842
O2 0.293 0.500 0.902
O3 0.300 0.202 0.615
O4 0.300 0.798 0.615
O5 0.320 0.199 0.115
O6 0.320 0.801 0.115
O7 0.327 0.500 0.404
O8 0.414 0.000 0.343
O9 0.692 0.500 0.229
O10 0.787 0.000 0.165
O11 0.795 0.298 0.455
O12 0.795 0.702 0.455
O13 0.837 0.295 0.952
O14 0.837 0.705 0.952
O15 0.839 0.000 0.670
O16 0.914 0.500 0.726

=====

No. 2
Starting from the PBE+U geometry in the Materials Project, the PXRD pattern of TiMn3Cu2P6O24 was computed for λ = 1.5418 Å (Cu Kα).
Neutral-atom scattering factors, no anomalous dispersion.

Principal peaks in the range 10 to 90 degrees two-theta, low angle first:
2θ/deg	intensity
20.71	98
24.34	100
33.04	86
36.28	42
47.42	36
56.80	43

Cell and atoms:
Lattice parameters (Å, degrees): 8.573 8.573 8.573 60.04 60.04 60.04
Sites, in units of the cell vectors:
Ti1 0.000 0.000 0.000
Mn1 0.214 0.214 0.214
Mn2 0.499 0.499 0.499
Mn3 0.714 0.714 0.714
Cu1 0.356 0.356 0.356
Cu2 0.858 0.858 0.858
P1 0.107 0.815 0.401
P2 0.317 0.605 0.897
P3 0.401 0.107 0.815
P4 0.605 0.897 0.317
P5 0.815 0.401 0.107
P6 0.897 0.317 0.605
O1 0.049 0.858 0.236
O2 0.094 0.302 0.439
O3 0.121 0.772 0.917
O4 0.164 0.974 0.369
O5 0.236 0.049 0.858
O6 0.273 0.619 0.411
O7 0.302 0.439 0.094
O8 0.348 0.551 0.737
O9 0.369 0.164 0.974
O10 0.411 0.273 0.619
O11 0.439 0.094 0.302
O12 0.476 0.662 0.866
O13 0.551 0.737 0.348
O14 0.596 0.941 0.799
O15 0.619 0.411 0.273
O16 0.662 0.866 0.476
O17 0.737 0.348 0.551
O18 0.772 0.917 0.121
O19 0.799 0.596 0.941
O20 0.858 0.236 0.049
O21 0.866 0.476 0.662
O22 0.917 0.121 0.772
O23 0.941 0.799 0.596
O24 0.974 0.369 0.164

=====

No. 3
Starting from the PBE+U geometry in the Materials Project, the PXRD pattern of Ti3Mn2CuP6O24 was computed for λ = 1.5418 Å (Cu Kα).
Neutral-atom scattering factors, no anomalous dispersion.

Principal peaks in the range 10 to 90 degrees two-theta, low angle first:
2θ/deg	intensity
20.52	79
24.13	100
32.78	74
35.93	34
49.42	28
56.25	34

Cell and atoms:
Lattice parameters (Å, degrees): 8.636 8.636 8.636 60.17 60.17 60.17
Sites, in units of the cell vectors:
Ti1 0.000 0.000 0.000
Ti2 0.210 0.210 0.210
Ti3 0.503 0.503 0.503
Mn1 0.355 0.355 0.355
Mn2 0.852 0.852 0.852
Cu1 0.710 0.710 0.710
P1 0.108 0.812 0.398
P2 0.313 0.609 0.902
P3 0.398 0.108 0.812
P4 0.609 0.902 0.313
P5 0.812 0.398 0.108
P6 0.902 0.313 0.609
O1 0.047 0.858 0.235
O2 0.095 0.287 0.442
O3 0.116 0.770 0.915
O4 0.180 0.971 0.343
O5 0.235 0.047 0.858
O6 0.274 0.620 0.409
O7 0.287 0.442 0.095
O8 0.343 0.180 0.971
O9 0.360 0.549 0.735
O10 0.409 0.274 0.620
O11 0.442 0.095 0.287
O12 0.466 0.665 0.876
O13 0.549 0.735 0.360
O14 0.589 0.950 0.804
O15 0.620 0.409 0.274
O16 0.665 0.876 0.466
O17 0.735 0.360 0.549
O18 0.770 0.915 0.116
O19 0.804 0.589 0.950
O20 0.858 0.235 0.047
O21 0.876 0.466 0.665
O22 0.915 0.116 0.770
O23 0.950 0.804 0.589
O24 0.971 0.343 0.180

=====

No. 4
Starting from the PBE+U geometry in the Materials Project, the PXRD pattern of MnV3Cu2P6O24 was computed for λ = 1.5418 Å (Cu Kα).
Neutral-atom scattering factors, no anomalous dispersion.

Principal peaks in the range 10 to 90 degrees two-theta, low angle first:
2θ/deg	intensity
20.69	93
24.33	100
33.05	84
36.24	37
47.43	34
56.75	41

Cell and atoms:
Lattice parameters (Å, degrees): 8.568 8.568 8.568 60.15 60.15 60.15
Sites, in units of the cell vectors:
Mn1 0.000 0.000 0.000
V1 0.215 0.215 0.215
V2 0.500 0.500 0.500
V3 0.715 0.715 0.715
Cu1 0.358 0.358 0.358
Cu2 0.857 0.857 0.857
P1 0.107 0.816 0.399
P2 0.316 0.607 0.897
P3 0.399 0.107 0.816
P4 0.607 0.897 0.316
P5 0.816 0.399 0.107
P6 0.897 0.316 0.607
O1 0.053 0.844 0.242
O2 0.091 0.302 0.438
O3 0.124 0.771 0.908
O4 0.162 0.980 0.362
O5 0.242 0.053 0.844
O6 0.275 0.622 0.421
O7 0.302 0.438 0.091
O8 0.359 0.544 0.737
O9 0.362 0.162 0.980
O10 0.421 0.275 0.622
O11 0.438 0.091 0.302
O12 0.479 0.664 0.861
O13 0.544 0.737 0.359
O14 0.594 0.940 0.800
O15 0.622 0.421 0.275
O16 0.664 0.861 0.479
O17 0.737 0.359 0.544
O18 0.771 0.908 0.124
O19 0.800 0.594 0.940
O20 0.844 0.242 0.053
O21 0.861 0.479 0.664
O22 0.908 0.124 0.771
O23 0.940 0.800 0.594
O24 0.980 0.362 0.162

=====

No. 5
Starting from the PBE+U geometry in the Materials Project, the PXRD pattern of Mn2V3CuP6O24 was computed for λ = 1.5418 Å (Cu Kα).
Neutral-atom scattering factors, no anomalous dispersion.

Principal peaks in the range 10 to 90 degrees two-theta, low angle first:
2θ/deg	intensity
20.56	87
24.19	100
32.89	70
35.99	36
47.17	27
49.54	28

Cell and atoms:
Lattice parameters (Å, degrees): 8.609 8.609 8.609 60.27 60.27 60.27
Sites, in units of the cell vectors:
Mn1 0.000 0.000 0.000
Mn2 0.496 0.496 0.496
V1 0.350 0.350 0.350
V2 0.641 0.641 0.641
V3 0.853 0.853 0.853
Cu1 0.141 0.141 0.141
P1 0.037 0.455 0.744
P2 0.244 0.953 0.537
P3 0.455 0.744 0.037
P4 0.537 0.244 0.953
P5 0.744 0.037 0.455
P6 0.953 0.537 0.244
O1 0.000 0.618 0.801
O2 0.047 0.264 0.904
O3 0.081 0.937 0.734
O4 0.117 0.501 0.300
O5 0.193 0.976 0.383
O6 0.230 0.443 0.576
O7 0.264 0.904 0.047
O8 0.300 0.117 0.501
O9 0.383 0.193 0.976
O10 0.411 0.759 0.564
O11 0.443 0.576 0.230
O12 0.501 0.300 0.117
O13 0.502 0.677 0.878
O14 0.564 0.411 0.759
O15 0.576 0.230 0.443
O16 0.618 0.801 0.000
O17 0.677 0.878 0.502
O18 0.734 0.081 0.937
O19 0.759 0.564 0.411
O20 0.801 0.000 0.618
O21 0.878 0.502 0.677
O22 0.904 0.047 0.264
O23 0.937 0.734 0.081
O24 0.976 0.383 0.193

=====

No. 6
Starting from the PBE+U geometry in the Materials Project, the PXRD pattern of Sr2Pr2MnCuO8 was computed for λ = 1.5418 Å (Cu Kα).
Neutral-atom scattering factors, no anomalous dispersion.

Principal peaks in the range 10 to 90 degrees two-theta, low angle first:
2θ/deg	intensity
24.56	32
30.29	100
32.99	34
36.48	44
47.76	32
57.60	35

Cell and atoms:
Lattice parameters (Å, degrees): 7.044 7.044 16.175 106.58 106.58 31.37
Sites, in units of the cell vectors:
Sr1 0.135 0.135 0.259
Sr2 0.141 0.141 0.792
Sr3 0.859 0.859 0.208
Sr4 0.865 0.865 0.741
Pr1 0.142 0.142 0.031
Pr2 0.326 0.326 0.448
Pr3 0.674 0.674 0.552
Pr4 0.858 0.858 0.969
Mn1 0.498 0.498 0.639
Mn2 0.502 0.502 0.361
Cu1 0.499 0.499 0.882
Cu2 0.501 0.501 0.118
O1 0.001 0.001 0.889
O2 0.029 0.029 0.368
O3 0.275 0.275 0.581
O4 0.327 0.327 0.067
O5 0.334 0.334 0.307
O6 0.334 0.334 0.855
O7 0.489 0.489 0.757
O8 0.500 0.500 0.000
O9 0.500 0.500 0.500
O10 0.511 0.511 0.243
O11 0.666 0.666 0.145
O12 0.666 0.666 0.693
O13 0.673 0.673 0.933
O14 0.725 0.725 0.419
O15 0.971 0.971 0.632
O16 0.999 0.999 0.111

=====

No. 7
Starting from the PBE+U geometry in the Materials Project, the PXRD pattern of Sr2Pr2MnCuO8 was computed for λ = 1.5418 Å (Cu Kα).
Neutral-atom scattering factors, no anomalous dispersion.

Principal peaks in the range 10 to 90 degrees two-theta, low angle first:
2θ/deg	intensity
31.47	100
32.78	72
42.87	18
43.88	28
47.04	37
57.70	36

Cell and atoms:
Lattice parameters (Å, degrees): 3.864 3.864 12.588 90.00 90.00 90.00
Sites, in units of the cell vectors:
Sr1 0.000 0.000 0.142
Sr2 0.000 0.000 0.858
Pr1 0.500 0.500 0.361
Pr2 0.500 0.500 0.639
Mn1 0.500 0.500 0.000
Cu1 0.000 0.000 0.500
O1 0.000 0.000 0.339
O2 0.000 0.000 0.661
O3 0.000 0.500 0.000
O4 0.000 0.500 0.500
O5 0.500 0.000 0.000
O6 0.500 0.000 0.500
O7 0.500 0.500 0.180
O8 0.500 0.500 0.820

=====

No. 8
Starting from the PBE+U geometry in the Materials Project, the PXRD pattern of MnCu2S2O8 was computed for λ = 1.5418 Å (Cu Kα).
Neutral-atom scattering factors, no anomalous dispersion.

Principal peaks in the range 10 to 90 degrees two-theta, low angle first:
2θ/deg	intensity
18.44	39
18.62	57
23.83	77
29.61	41
30.68	30
35.82	100

Cell and atoms:
Lattice parameters (Å, degrees): 6.031 7.984 9.451 90.00 127.80 90.00
Sites, in units of the cell vectors:
Mn1 0.000 0.000 0.000
Mn2 0.000 0.500 0.500
Cu1 0.236 0.144 0.485
Cu2 0.236 0.356 0.985
Cu3 0.764 0.644 0.015
Cu4 0.764 0.856 0.515
S1 0.139 0.616 0.878
S2 0.139 0.884 0.378
S3 0.861 0.116 0.622
S4 0.861 0.384 0.122
O1 0.013 0.218 0.568
O2 0.013 0.282 0.068
O3 0.062 0.121 0.828
O4 0.062 0.379 0.328
O5 0.355 0.501 0.659
O6 0.355 0.999 0.159
O7 0.398 0.713 0.942
O8 0.398 0.787 0.442
O9 0.602 0.213 0.558
O10 0.602 0.287 0.058
O11 0.645 0.001 0.841
O12 0.645 0.499 0.341
O13 0.938 0.621 0.672
O14 0.938 0.879 0.172
O15 0.987 0.718 0.932
O16 0.987 0.782 0.432

=====

No. 9
Starting from the PBE+U geometry in the Materials Project, the PXRD pattern of Sr2MnCuSO3 was computed for λ = 1.5418 Å (Cu Kα).
Neutral-atom scattering factors, no anomalous dispersion.

Principal peaks in the range 10 to 90 degrees two-theta, low angle first:
2θ/deg	intensity
31.90	100
32.36	29
36.54	22
46.42	46
56.54	28
57.42	36

Cell and atoms:
Lattice parameters (Å, degrees): 3.913 3.913 16.103 90.00 90.00 90.00
Sites, in units of the cell vectors:
Sr1 0.250 0.250 0.083
Sr2 0.250 0.250 0.313
Sr3 0.750 0.750 0.687
Sr4 0.750 0.750 0.917
Mn1 0.250 0.250 0.806
Mn2 0.750 0.750 0.194
Cu1 0.250 0.750 0.500
Cu2 0.750 0.250 0.500
S1 0.250 0.250 0.586
S2 0.750 0.750 0.414
O1 0.250 0.250 0.932
O2 0.250 0.750 0.215
O3 0.250 0.750 0.785
O4 0.750 0.250 0.215
O5 0.750 0.250 0.785
O6 0.750 0.750 0.068